(1)
Structure and simulated PXRD pattern of Rb2Ag3F8 (the PBE geometry in Alexandria; Cu Ka).

Atomic structure:
a b c (Å): 4.329 4.329 12.119
angles (deg): 90.00 90.00 90.00
Atoms (fractional coordinates):
Rb 0.000 0.000 0.195
Rb 0.000 0.000 0.805
Ag 0.500 0.500 0.000
Ag 0.500 0.500 0.375
Ag 0.500 0.500 0.625
F 0.000 0.500 0.000
F 0.000 0.500 0.364
F 0.000 0.500 0.636
F 0.500 0.000 0.000
F 0.500 0.000 0.364
F 0.500 0.000 0.636
F 0.500 0.500 0.176
F 0.500 0.500 0.824

Main lines, low angle first (10 to 90 degrees two-theta):
| 2θ/deg | d/Å | intensity |
| --- | --- | --- |
| 20.5 | 4.329 | 39 |
| 25.3 | 3.522 | 55 |
| 29.2 | 3.061 | 70 |
| 30.3 | 2.953 | 100 |
| 37.1 | 2.424 | 30 |
| 41.7 | 2.165 | 62 |
| 47.9 | 1.900 | 30 |
| 52.4 | 1.746 | 42 |
| 57.0 | 1.614 | 31 |
| 80.5 | 1.193 | 31 |


(2)
Structure and simulated PXRD pattern of TbIn2Pd2 (the PBE geometry in Alexandria; Cu Ka).

Atomic structure:
a b c (Å): 4.860 4.860 15.096
angles (deg): 90.00 90.00 120.00
Atoms (fractional coordinates):
Tb 0.000 0.000 0.000
Tb 0.333 0.667 0.667
Tb 0.667 0.333 0.333
In 0.000 0.000 0.221
In 0.000 0.000 0.779
In 0.333 0.667 0.446
In 0.333 0.667 0.887
In 0.667 0.333 0.113
In 0.667 0.333 0.554
Pd 0.000 0.000 0.411
Pd 0.000 0.000 0.589
Pd 0.333 0.667 0.077
Pd 0.333 0.667 0.256
Pd 0.667 0.333 0.744
Pd 0.667 0.333 0.923

Main lines, low angle first (10 to 90 degrees two-theta):
| 2θ/deg | d/Å | intensity |
| --- | --- | --- |
| 31.8 | 2.810 | 15 |
| 36.6 | 2.453 | 83 |
| 37.0 | 2.430 | 100 |
| 53.0 | 1.727 | 28 |
| 65.7 | 1.421 | 7 |
| 66.4 | 1.407 | 28 |
| 66.7 | 1.403 | 17 |
| 67.9 | 1.380 | 9 |
| 78.7 | 1.215 | 12 |
| 89.5 | 1.095 | 8 |


(3)
Structure and simulated PXRD pattern of K2Au3 (the PBE geometry in Alexandria; Cu Ka).

Atomic structure:
a b c (Å): 4.978 5.573 10.118
angles (deg): 90.00 90.00 90.00
Atoms (fractional coordinates):
K 0.000 0.000 0.194
K 0.000 0.000 0.806
K 0.500 0.500 0.306
K 0.500 0.500 0.694
Au 0.000 0.254 0.500
Au 0.000 0.500 0.000
Au 0.000 0.746 0.500
Au 0.500 0.000 0.500
Au 0.500 0.246 0.000
Au 0.500 0.754 0.000

Main lines, low angle first (10 to 90 degrees two-theta):
| 2θ/deg | d/Å | intensity |
| --- | --- | --- |
| 17.5 | 5.059 | 100 |
| 29.9 | 2.993 | 30 |
| 35.5 | 2.530 | 24 |
| 36.1 | 2.489 | 29 |
| 38.1 | 2.364 | 84 |
| 40.4 | 2.233 | 26 |
| 46.0 | 1.972 | 36 |
| 51.5 | 1.774 | 17 |
| 59.4 | 1.555 | 27 |
| 66.2 | 1.412 | 17 |